# CuSe2Cl
Computed XRD peak list, Cu Kα. Input: a cell relaxed with PBE.
Neutral-atom scattering factors, no anomalous dispersion.

Most intense lines, 2θ from 10° to 80°, by intensity:
| two_theta | I/Imax | h k l |
| --- | --- | --- |
| 16.2 | 100 | 0 0 2 |
| 30.4 | 49 | 1 1 2 |
| 28.7 | 44 | 1 1 -3 |
| 31.1 | 30 | 2 1 0 |
| 44.1 | 24 | 1 1 4 |
| 32.5 | 20 | 2 1 -3 |
| 25.2 | 20 | 1 1 1 |
| 51.6 | 20 | 3 2 -1 |
| 51.8 | 18 | 3 2 -3 |
| 29.8 | 14 | 2 1 -2 |
| 24.2 | 14 | 0 1 2 |
| 52.3 | 14 | 4 1 -1 |

Atomic structure:
a b c (Å): 7.758 4.961 12.060
angles (deg): 90.00 114.50 90.00
Space group P2_1/c (No. 14)
Inequivalent atoms, fractional coordinates:
Cu: 0.176 0.140 0.248
Se: 0.303 0.031 0.658
Se: 0.417 0.690 0.838
Cl: 0.084 0.110 0.877